Record 1
# Sb2O7
Calculated powder diffraction line list, CuKα. Input: DFT lattice parameters and positions (GGA-PBE).

The 10 most intense peaks (2θ from 10° to 90°), by angle:
2θ (°), d [Å], I_rel
14.6, 6.066, 78.0
14.7, 6.013, 100.0
28.2, 3.167, 30.3
28.4, 3.148, 51.0
29.4, 3.033, 56.4
29.7, 3.007, 54.5
34.3, 2.615, 27.4
49.3, 1.848, 33.7
58.3, 1.584, 15.4
58.7, 1.573, 21.5

Crystal structure
```
Sb2O7
1.0
-3.726 5.221 3.677
3.726 -5.221 3.677
3.726 5.221 -3.677
Sb O
4 14
Direct
0.000 0.000 0.000 Sb
0.000 0.500 0.500 Sb
0.002 0.003 0.498 Sb
0.505 0.503 0.502 Sb
0.034 0.475 0.058 O
0.075 0.146 0.822 O
0.075 0.752 0.824 O
0.075 0.753 0.429 O
0.324 0.253 0.178 O
0.324 0.646 0.571 O
0.326 0.253 0.573 O
0.417 0.975 0.942 O
0.679 0.753 0.427 O
0.681 0.359 0.429 O
0.681 0.752 0.822 O
0.928 0.252 0.176 O
0.930 0.252 0.571 O
0.930 0.859 0.178 O
```


Record 2
# Tb12Dy2In
Calculated powder diffraction line list, CuKα. Input: DFT lattice parameters and positions (GGA-PBE).

The 10 most intense peaks (2θ from 10° to 90°), by angle:
2θ (°), d [Å], I_rel
30.1, 2.970, 23.5
30.7, 2.909, 36.9
31.4, 2.852, 25.1
31.8, 2.818, 100.0
31.9, 2.807, 99.9
33.4, 2.687, 15.4
34.0, 2.637, 18.2
34.1, 2.628, 30.4
45.2, 2.005, 15.5
56.6, 1.625, 15.7

Crystal structure
```
Tb12Dy2In
1.0
3.553 -5.639 0.000
3.553 5.639 0.000
-3.443 0.000 23.763
Tb Dy In
24 4 2
Direct
0.004 0.004 0.400 Tb
0.087 0.609 0.943 Tb
0.104 0.104 0.928 Tb
0.116 0.574 0.436 Tb
0.142 0.711 0.693 Tb
0.218 0.702 0.175 Tb
0.289 0.858 0.307 Tb
0.298 0.782 0.825 Tb
0.391 0.913 0.057 Tb
0.423 0.423 0.079 Tb
0.426 0.884 0.564 Tb
0.484 0.484 0.350 Tb
0.516 0.516 0.650 Tb
0.574 0.116 0.436 Tb
0.577 0.577 0.921 Tb
0.609 0.087 0.943 Tb
0.702 0.218 0.175 Tb
0.711 0.142 0.693 Tb
0.782 0.298 0.825 Tb
0.858 0.289 0.307 Tb
0.884 0.426 0.564 Tb
0.896 0.896 0.072 Tb
0.913 0.391 0.057 Tb
0.996 0.996 0.600 Tb
0.224 0.224 0.213 Dy
0.253 0.253 0.766 Dy
0.747 0.747 0.234 Dy
0.776 0.776 0.787 Dy
0.308 0.308 0.517 In
0.692 0.692 0.483 In
```


What did the second record say?
# Tb12Dy2In
Calculated powder diffraction line list, CuKα. Input: DFT lattice parameters and positions (GGA-PBE).

The 10 most intense peaks (2θ from 10° to 90°), by angle:
2θ (°), d [Å], I_rel
30.1, 2.970, 23.5
30.7, 2.909, 36.9
31.4, 2.852, 25.1
31.8, 2.818, 100.0
31.9, 2.807, 99.9
33.4, 2.687, 15.4
34.0, 2.637, 18.2
34.1, 2.628, 30.4
45.2, 2.005, 15.5
56.6, 1.625, 15.7

Crystal structure
```
Tb12Dy2In
1.0
3.553 -5.639 0.000
3.553 5.639 0.000
-3.443 0.000 23.763
Tb Dy In
24 4 2
Direct
0.004 0.004 0.400 Tb
0.087 0.609 0.943 Tb
0.104 0.104 0.928 Tb
0.116 0.574 0.436 Tb
0.142 0.711 0.693 Tb
0.218 0.702 0.175 Tb
0.289 0.858 0.307 Tb
0.298 0.782 0.825 Tb
0.391 0.913 0.057 Tb
0.423 0.423 0.079 Tb
0.426 0.884 0.564 Tb
0.484 0.484 0.350 Tb
0.516 0.516 0.650 Tb
0.574 0.116 0.436 Tb
0.577 0.577 0.921 Tb
0.609 0.087 0.943 Tb
0.702 0.218 0.175 Tb
0.711 0.142 0.693 Tb
0.782 0.298 0.825 Tb
0.858 0.289 0.307 Tb
0.884 0.426 0.564 Tb
0.896 0.896 0.072 Tb
0.913 0.391 0.057 Tb
0.996 0.996 0.600 Tb
0.224 0.224 0.213 Dy
0.253 0.253 0.766 Dy
0.747 0.747 0.234 Dy
0.776 0.776 0.787 Dy
0.308 0.308 0.517 In
0.692 0.692 0.483 In
```